This entry pairs a crystal structure of Ti3AlNi12 with its calculated XRD peak list. Radiation: Cu Kα. Structure: a structure optimized by DFT (PBE).

Cell and atoms:
```
data_Ti3AlNi12
_cell_length_a 5.0904
_cell_length_b 5.0904
_cell_length_c 8.2935
_cell_angle_alpha 90.00
_cell_angle_beta 90.00
_cell_angle_gamma 120.00
_space_group_name_H-M_alt 'P 1'
_space_group_IT_number 1
_space_group_name_Hall 'P 1'
loop_
_atom_site_label
_atom_site_fract_x
_atom_site_fract_y
_atom_site_fract_z
Ti1 0.0000 0.0000 0.0000
Ti2 0.6667 0.3333 0.2482
Ti3 0.6667 0.3333 0.7518
Al1 0.3333 0.6667 0.5000
Ni1 0.0114 0.5057 0.0000
Ni2 0.1667 0.3335 0.2506
Ni3 0.1667 0.3335 0.7494
Ni4 0.1667 0.8333 0.2506
Ni5 0.1667 0.8333 0.7494
Ni6 0.3235 0.1617 0.5000
Ni7 0.4943 0.5057 0.0000
Ni8 0.4943 0.9886 0.0000
Ni9 0.6665 0.8333 0.2506
Ni10 0.6665 0.8333 0.7494
Ni11 0.8383 0.1617 0.5000
Ni12 0.8383 0.6765 0.5000
```

Main lines, in order of rising 2θ (2θ from 10° to 80°):
d 3.893, 2θ 22.85, intensity 4.5; d 3.020, 2θ 29.57, intensity 1.9; d 2.204, 2θ 40.94, intensity 9.4; d 2.130, 2θ 42.43, intensity 42.0; d 2.073, 2θ 43.66, intensity 36.0; d 1.946, 2θ 46.67, intensity 100.0; d 1.723, 2θ 53.14, intensity 20.8; d 1.510, 2θ 61.39, intensity 5.1; d 1.325, 2θ 71.14, intensity 8.1; d 1.273, 2θ 74.57, intensity 19.2